# Na3MoNO3
Calculated powder X-ray diffraction pattern, Cu Kα (λ = 1.5418 Å). Input: a cell relaxed with PBE+U.

Cell and atoms:
Lattice parameters (Å, degrees): 7.360 6.293 5.693 90.00 90.00 90.00
Atoms (fractional coordinates):
Na (0.000, 0.165, 0.000)
Na (0.244, 0.329, 0.498)
Na (0.256, 0.671, 0.998)
Na (0.500, 0.835, 0.500)
Na (0.744, 0.671, 0.998)
Na (0.756, 0.329, 0.498)
Mo (0.000, 0.827, 0.490)
Mo (0.500, 0.173, 0.990)
N (0.000, 0.824, 0.182)
N (0.500, 0.176, 0.682)
O (0.000, 0.110, 0.588)
O (0.209, 0.687, 0.590)
O (0.291, 0.313, 0.090)
O (0.500, 0.890, 0.088)
O (0.709, 0.313, 0.090)
O (0.791, 0.687, 0.590)

Peak list (10 most intense, 2θ from 10° to 90°, by intensity)
Position (°2θ)	d/Å	I (rel.)	(hkl)
19.72	4.503	100	1 0 1
32.27	2.774	97	2 1 1
18.55	4.783	76	1 1 0
31.43	2.846	65	0 0 2
28.09	3.177	63	2 1 0
21.04	4.222	60	0 1 1
50.05	1.822	42	2 3 0
60.30	1.535	41	2 3 2
32.51	2.754	41	0 2 1
28.37	3.146	37	0 2 0



# Fe4As2O11
Calculated powder X-ray diffraction pattern, Cu Kα (λ = 1.5418 Å). Input: a cell relaxed with PBE+U.

Cell and atoms:
Lattice parameters (Å, degrees): 5.141 6.572 6.731 108.95 106.09 98.14
Atoms (fractional coordinates):
Fe (0.104, 0.254, 0.032)
Fe (0.342, 0.873, 0.749)
Fe (0.658, 0.127, 0.251)
Fe (0.896, 0.746, 0.968)
As (0.337, 0.315, 0.606)
As (0.663, 0.685, 0.394)
O (0.000, 0.500, 0.000)
O (0.074, 0.292, 0.368)
O (0.215, 0.156, 0.738)
O (0.261, 0.974, 0.044)
O (0.393, 0.778, 0.460)
O (0.463, 0.592, 0.788)
O (0.537, 0.408, 0.212)
O (0.607, 0.222, 0.540)
O (0.739, 0.026, 0.956)
O (0.785, 0.844, 0.262)
O (0.926, 0.708, 0.632)

Peak list (10 most intense, 2θ from 10° to 90°, by intensity)
Position (°2θ)	d/Å	I (rel.)	(hkl)
27.64	3.227	100	1 0 1
29.70	3.008	59	0 2 0
29.28	3.050	49	1 0 -2
35.33	2.540	27	2 0 -1
30.85	2.898	25	1 -2 0
34.89	2.571	21	1 2 -1
20.59	4.313	19	1 -1 0
33.22	2.697	19	0 2 -2
38.44	2.342	17	0 1 2
61.97	1.497	17	3 1 -3



# Li4Mn3OF11
Calculated powder X-ray diffraction pattern, Cu Kα (λ = 1.5418 Å). Input: a cell relaxed with PBE+U.

Cell and atoms:
Lattice parameters (Å, degrees): 5.582 6.124 6.843 106.25 95.73 100.23
Atoms (fractional coordinates):
Li (0.000, 0.000, 0.000)
Li (0.221, 0.719, 0.281)
Li (0.454, 0.811, 0.758)
Li (0.757, 0.953, 0.403)
Mn (0.328, 0.250, 0.509)
Mn (0.602, 0.373, 0.095)
Mn (0.877, 0.508, 0.628)
O (0.629, 0.307, 0.404)
F (0.018, 0.239, 0.643)
F (0.062, 0.990, 0.277)
F (0.120, 0.722, 0.849)
F (0.236, 0.531, 0.486)
F (0.272, 0.237, 0.029)
F (0.407, 0.980, 0.555)
F (0.532, 0.679, 0.199)
F (0.580, 0.463, 0.799)
F (0.673, 0.070, 0.977)
F (0.772, 0.777, 0.605)
F (0.931, 0.503, 0.151)

Peak list (10 most intense, 2θ from 10° to 90°, by intensity)
Position (°2θ)	d/Å	I (rel.)	(hkl)
15.43	5.742	100	0 1 0
27.16	3.284	69	0 1 -2
31.96	2.800	64	1 -2 0
19.96	4.449	48	1 -1 0
27.50	3.244	37	0 0 2
24.64	3.613	37	1 1 -1
39.82	2.264	36	2 0 -2
48.21	1.888	33	1 -3 2
22.98	3.870	30	1 0 1
56.57	1.627	29	3 1 0